# Ba3Sr9Ca
Theoretical powder diffraction line list, a wavelength of 1.5418 Å. Input: a DFT-relaxed cell (PBE, Alexandria).
No peak broadening, texture or thermal motion is included.

Cell and atoms:
```
data_Ba3Sr9Ca
_cell_length_a 25.638
_cell_length_b 7.400
_cell_length_c 18.609
_cell_angle_alpha 90.00
_cell_angle_beta 124.45
_cell_angle_gamma 90.00
_symmetry_space_group_name_H-M 'C 1 c 1'
_symmetry_Int_Tables_number 9
loop_
_symmetry_equiv_pos_as_xyz
'x,y,z'
'x,-y,z+1/2'
'x+1/2,y+1/2,z'
'x+1/2,-y+1/2,z+1/2'
loop_
_atom_site_label
_atom_site_fract_x
_atom_site_fract_y
_atom_site_fract_z
_atom_site_occupancy
Ba1 0.000 0.162 0.000 1
Ba2 0.228 0.170 0.541 1
Ba3 0.268 0.330 0.959 1
Sr1 0.038 0.334 0.422 1
Sr2 0.076 0.171 0.842 1
Sr3 0.115 0.326 0.268 1
Sr4 0.191 0.332 0.119 1
Sr5 0.306 0.163 0.381 1
Sr6 0.344 0.329 0.806 1
Sr7 0.384 0.174 0.230 1
Sr8 0.423 0.328 0.655 1
Sr9 0.463 0.167 0.079 1
Ca1 0.152 0.172 0.693 1
```

Most intense lines, 10 to 90 degrees two-theta, by intensity:
2θ = 27.13°, d = 3.287 Å, intensity 100, (7 1 -3); 2θ = 27.23°, d = 3.275 Å, intensity 47, (2 2 1); 2θ = 25.30°, d = 3.520 Å, intensity 39, (4 0 2); 2θ = 23.94°, d = 3.717 Å, intensity 21, (5 1 -4); 2θ = 42.24°, d = 2.139 Å, intensity 20, (5 3 -4); 2θ = 49.82°, d = 1.830 Å, intensity 18, (1 3 -6); 2θ = 35.19°, d = 2.551 Å, intensity 17, (4 2 2); 2θ = 24.05°, d = 3.700 Å, intensity 12, (0 2 0); 2θ = 45.63°, d = 1.988 Å, intensity 12, (1 1 7); 2θ = 49.93°, d = 1.826 Å, intensity 12, (9 3 -2); 2θ = 45.81°, d = 1.981 Å, intensity 12, (11 1 -1); 2θ = 45.78°, d = 1.982 Å, intensity 11, (6 2 3)



# Sm3Ho2Sc3
Theoretical powder diffraction line list, a wavelength of 1.5418 Å. Input: a DFT-relaxed cell (PBE, Alexandria).
No peak broadening, texture or thermal motion is included.

Cell and atoms:
```
data_Sm3Ho2Sc3
_cell_length_a 4.811
_cell_length_b 4.950
_cell_length_c 19.761
_cell_angle_alpha 90.00
_cell_angle_beta 90.00
_cell_angle_gamma 90.00
_symmetry_space_group_name_H-M 'I m m m'
_symmetry_Int_Tables_number 71
_symmetry_space_group_name_Hall '-I 2 2'
loop_
_atom_site_label
_atom_site_fract_x
_atom_site_fract_y
_atom_site_fract_z
_atom_site_occupancy
Sm1 0.000 0.000 0.000 1
Sm2 0.000 0.500 0.122 1
Ho1 0.000 0.000 0.248 1
Sc1 0.000 0.000 0.500 1
Sc2 0.000 0.500 0.375 1
```

Most intense lines, 10 to 90 degrees two-theta, by intensity:
2θ = 31.63°, d = 2.829 Å, intensity 100, (1 1 4); 2θ = 36.33°, d = 2.473 Å, intensity 34, (0 2 0); 2θ = 53.12°, d = 1.724 Å, intensity 23, (2 2 0); 2θ = 37.39°, d = 2.405 Å, intensity 16, (2 0 0); 2θ = 62.39°, d = 1.488 Å, intensity 14, (1 3 4); 2θ = 18.99°, d = 4.674 Å, intensity 14, (1 0 1); 2θ = 62.50°, d = 1.486 Å, intensity 14, (1 1 12); 2θ = 63.86°, d = 1.458 Å, intensity 13, (3 1 4); 2θ = 52.33°, d = 1.748 Å, intensity 12, (0 2 8); 2θ = 66.06°, d = 1.414 Å, intensity 12, (2 2 8); 2θ = 22.47°, d = 3.957 Å, intensity 7, (0 1 3); 2θ = 28.91°, d = 3.089 Å, intensity 6, (0 1 5)



# KGaICl
Theoretical powder diffraction line list, a wavelength of 1.5418 Å. Input: a DFT-relaxed cell (PBE, Alexandria).
No peak broadening, texture or thermal motion is included.

Cell and atoms:
```
data_KGaICl
_cell_length_a 4.5436
_cell_length_b 4.5436
_cell_length_c 24.1383
_cell_angle_alpha 90.00
_cell_angle_beta 90.00
_cell_angle_gamma 120.00
_symmetry_space_group_name_H-M 'R 3 m'
_symmetry_Int_Tables_number 160
_symmetry_space_group_name_Hall 'R 3 -2"'
loop_
_atom_site_label
_atom_site_fract_x
_atom_site_fract_y
_atom_site_fract_z
_atom_site_occupancy
K1 0.0000 0.0000 0.0000 1
Ga1 0.0000 0.0000 0.8495 1
I1 0.0000 0.0000 0.4365 1
Cl1 0.0000 0.0000 0.2609 1
```

Most intense lines, 10 to 90 degrees two-theta, by intensity:
2θ = 29.28°, d = 3.050 Å, intensity 100, (0 1 5); 2θ = 23.78°, d = 3.741 Å, intensity 96, (0 1 2); 2θ = 34.59°, d = 2.593 Å, intensity 68, (1 0 7); 2θ = 39.67°, d = 2.272 Å, intensity 58, (1 1 0); 2θ = 11.00°, d = 8.046 Å, intensity 42, (0 0 3); 2θ = 61.58°, d = 1.506 Å, intensity 23, (1 1 12); 2θ = 50.06°, d = 1.822 Å, intensity 21, (2 0 5); 2θ = 53.63°, d = 1.709 Å, intensity 18, (0 2 7); 2θ = 65.69°, d = 1.421 Å, intensity 18, (1 2 5); 2θ = 68.74°, d = 1.366 Å, intensity 17, (2 1 7); 2θ = 46.78°, d = 1.942 Å, intensity 15, (2 0 2); 2θ = 44.01°, d = 2.058 Å, intensity 15, (1 0 10)



# PaBeAlFe
Theoretical powder diffraction line list, a wavelength of 1.5418 Å. Input: a DFT-relaxed cell (PBE, Alexandria).
No peak broadening, texture or thermal motion is included.

Cell and atoms:
```
data_PaBeAlFe
_cell_length_a 6.269
_cell_length_b 6.269
_cell_length_c 6.269
_cell_angle_alpha 90.00
_cell_angle_beta 90.00
_cell_angle_gamma 90.00
_symmetry_space_group_name_H-M 'F -4 3 m'
_symmetry_Int_Tables_number 216
_symmetry_space_group_name_Hall 'F -4 2 3'
loop_
_atom_site_label
_atom_site_fract_x
_atom_site_fract_y
_atom_site_fract_z
_atom_site_occupancy
Pa1 0.000 0.000 0.000 1
Be1 0.250 0.250 0.250 1
Al1 0.000 0.000 0.500 1
Fe1 0.250 0.250 0.750 1
```

Most intense lines, 10 to 90 degrees two-theta, by intensity:
2θ = 24.60°, d = 3.619 Å, intensity 100, (1 1 1); 2θ = 40.71°, d = 2.216 Å, intensity 98, (2 2 0); 2θ = 48.14°, d = 1.890 Å, intensity 52, (3 1 1); 2θ = 28.48°, d = 3.134 Å, intensity 43, (2 0 0); 2θ = 74.10°, d = 1.280 Å, intensity 34, (4 2 2); 2θ = 64.83°, d = 1.438 Å, intensity 22, (3 3 1); 2θ = 66.73°, d = 1.402 Å, intensity 17, (4 2 0); 2θ = 79.44°, d = 1.206 Å, intensity 17, (5 1 1); 2θ = 58.93°, d = 1.567 Å, intensity 17, (4 0 0); 2θ = 50.43°, d = 1.810 Å, intensity 13, (2 2 2); 2θ = 88.16°, d = 1.108 Å, intensity 11, (4 4 0)